Entry 1:
Diffraction record for Li6MnAlO6. The powder XRD pattern is simulated, not measured: it uses a cell relaxed with GGA+U and CuKα.
Neutral-atom scattering factors, no anomalous dispersion.

Peak list (6 most intense, 2θ = 10–90°, sorted by position)
| 2theta | Rel. int. |
| --- | --- |
| 18.11 | 100.0 |
| 18.62 | 53.5 |
| 36.35 | 65.7 |
| 38.67 | 87.0 |
| 51.06 | 57.2 |
| 58.05 | 35.6 |

Structural model:
Lattice parameters (Å, degrees): 5.360 5.360 9.805 91.27 91.27 117.14
Positions (direct):
Li1 0.059 0.683 0.922
Li2 0.068 0.382 0.581
Li3 0.315 0.374 0.927
Li4 0.317 0.941 0.578
Li5 0.374 0.315 0.427
Li6 0.382 0.068 0.081
Li7 0.618 0.932 0.919
Li8 0.626 0.685 0.573
Li9 0.683 0.059 0.422
Li10 0.685 0.626 0.073
Li11 0.932 0.618 0.419
Li12 0.941 0.317 0.078
Mn1 0.003 0.997 0.250
Mn2 0.997 0.003 0.750
Al1 0.339 0.661 0.250
Al2 0.661 0.339 0.750
O1 0.043 0.336 0.362
O2 0.062 0.718 0.133
O3 0.282 0.938 0.367
O4 0.312 0.372 0.128
O5 0.336 0.043 0.862
O6 0.372 0.312 0.628
O7 0.628 0.688 0.372
O8 0.664 0.957 0.138
O9 0.688 0.628 0.872
O10 0.718 0.062 0.633
O11 0.938 0.282 0.867
O12 0.957 0.664 0.638

---

Entry 2:
Diffraction record for Li3MnAl2O6. The powder XRD pattern is simulated, not measured: it uses a cell relaxed with GGA+U and CuKα.
Neutral-atom scattering factors, no anomalous dispersion.

Peak list (6 most intense, 2θ = 10–90°, sorted by position)
| 2theta | Rel. int. |
| --- | --- |
| 17.01 | 48.8 |
| 30.18 | 100.0 |
| 30.36 | 56.5 |
| 45.41 | 58.4 |
| 53.49 | 31.9 |
| 53.83 | 63.2 |

Structural model:
Lattice parameters (Å, degrees): 5.300 5.927 7.827 89.96 79.61 89.38
Positions (direct):
Li1 0.003 0.160 0.257
Li2 0.162 0.666 0.417
Li3 0.328 0.846 0.098
Li4 0.672 0.154 0.902
Li5 0.838 0.334 0.583
Li6 0.997 0.840 0.743
Mn1 0.498 0.330 0.242
Mn2 0.502 0.670 0.758
Al1 0.162 0.325 0.918
Al2 0.330 0.167 0.587
Al3 0.670 0.833 0.413
Al4 0.838 0.675 0.082
O1 0.029 0.178 0.754
O2 0.170 0.637 0.921
O3 0.200 0.320 0.419
O4 0.320 0.184 0.073
O5 0.347 0.856 0.579
O6 0.477 0.329 0.742
O7 0.523 0.671 0.258
O8 0.653 0.144 0.421
O9 0.680 0.816 0.927
O10 0.800 0.680 0.581
O11 0.830 0.363 0.079
O12 0.971 0.822 0.246

---

Entry 3:
Diffraction record for Rb3Li2AlMo4O16. The powder XRD pattern is simulated, not measured: it uses a cell relaxed with GGA+U and CuKα.
Neutral-atom scattering factors, no anomalous dispersion.

Peak list (6 most intense, 2θ = 10–90°, sorted by position)
| 2theta | Rel. int. |
| --- | --- |
| 17.80 | 17.9 |
| 23.01 | 21.1 |
| 23.13 | 9.1 |
| 27.35 | 100.0 |
| 34.47 | 15.3 |
| 45.77 | 11.0 |

Structural model:
Lattice parameters (Å, degrees): 10.568 10.568 10.568 109.31 109.31 109.79
Positions (direct):
Rb1 0.000 0.000 0.000
Rb2 0.232 0.125 0.607
Rb3 0.375 0.768 0.893
Rb4 0.518 0.625 0.393
Rb5 0.750 0.250 0.500
Rb6 0.875 0.482 0.107
Li1 0.000 0.625 0.875
Li2 0.375 0.250 0.375
Li3 0.750 0.125 0.125
Li4 0.875 0.000 0.625
Al1 0.250 0.750 0.500
Al2 0.500 0.500 0.000
Mo1 0.125 0.381 0.452
Mo2 0.131 0.375 0.952
Mo3 0.326 0.875 0.255
Mo4 0.424 0.179 0.048
Mo5 0.619 0.071 0.745
Mo6 0.625 0.576 0.755
Mo7 0.821 0.869 0.245
Mo8 0.929 0.674 0.548
O1 0.006 0.444 0.880
O2 0.059 0.180 0.814
O3 0.079 0.746 0.492
O4 0.128 0.378 0.118
O5 0.128 0.378 0.618
O6 0.187 0.806 0.062
O7 0.194 0.256 0.380
O8 0.254 0.587 0.508
O9 0.254 0.746 0.333
O10 0.260 0.010 0.882
O11 0.337 0.504 0.008
O12 0.366 0.244 0.186
O13 0.384 0.070 0.379
O14 0.413 0.921 0.667
O15 0.490 0.872 0.250
O16 0.496 0.329 0.992
O17 0.496 0.504 0.833
O18 0.556 0.437 0.562
O19 0.563 0.126 0.120
O20 0.622 0.240 0.750
O21 0.622 0.740 0.750
O22 0.671 0.663 0.167
O23 0.691 0.006 0.621
O24 0.744 0.124 0.938
O25 0.756 0.941 0.121
O26 0.760 0.510 0.382
O27 0.820 0.634 0.879
O28 0.874 0.994 0.438
O29 0.876 0.813 0.620
O30 0.930 0.309 0.314
O31 0.990 0.872 0.250
O32 0.994 0.616 0.686